Calculated powder diffractogram
Compound: U3PdSe6
Radiation: copper Kα
Structure: a cell relaxed with GGA-PBE

Structure:
```
data_U3PdSe6
_cell_length_a 11.171
_cell_length_b 13.613
_cell_length_c 6.668
_cell_angle_alpha 90.00
_cell_angle_beta 90.00
_cell_angle_gamma 90.00
_space_group_name_H-M_alt 'C m c 21'
_space_group_IT_number 36
loop_
_space_group_symop_operation_xyz
'x,y,z'
'-x,-y,z+1/2'
'-x,y,z'
'x,-y,z+1/2'
'x+1/2,y+1/2,z'
'-x+1/2,-y+1/2,z+1/2'
'-x+1/2,y+1/2,z'
'x+1/2,-y+1/2,z+1/2'
loop_
_atom_site_label
_atom_site_fract_x
_atom_site_fract_y
_atom_site_fract_z
U1 0.000 0.108 0.000
U2 0.169 0.396 0.909
Pd1 0.000 0.298 0.304
Se1 0.000 0.271 0.708
Se2 0.000 0.475 0.198
Se3 0.164 0.032 0.707
Se4 0.187 0.226 0.156
```

Principal peaks in the range 2θ = 10–80°, by angle:
- d = 5.278 Å, 16.80 deg, rel. 62, hkl 1 1 1
- d = 3.624 Å, 24.56 deg, rel. 100, hkl 2 2 1
- d = 3.556 Å, 25.04 deg, rel. 79, hkl 1 3 1
- d = 2.642 Å, 33.93 deg, rel. 58, hkl 3 3 1
- d = 2.444 Å, 36.78 deg, rel. 91, hkl 3 1 2
- d = 2.382 Å, 37.77 deg, rel. 61, hkl 0 4 2
- d = 2.198 Å, 41.07 deg, rel. 72, hkl 3 5 0
- d = 1.862 Å, 48.93 deg, rel. 39, hkl 6 0 0